Computed powder XRD pattern of Pm3Ni2Sn for Cu Kα X-rays, from the GGA-PBE geometry in Alexandria.
Lines closer than 0.1° are merged.

```
data_Pm3Ni2Sn
_chemical_formula_sum 'Pm18 Ni12 Sn6'
_cell_length_a 8.4152
_cell_length_b 8.4152
_cell_length_c 15.1264
_cell_angle_alpha 90.00
_cell_angle_beta 90.00
_cell_angle_gamma 120.00
_symmetry_space_group_name_H-M 'R -3 c'
_symmetry_Int_Tables_number 167
_symmetry_space_group_name_Hall '-R 3 2"c'
loop_
_atom_site_label
_atom_site_fract_x
_atom_site_fract_y
_atom_site_fract_z
Pm1 0.0000 0.3069 0.2500
Ni1 0.0000 0.0000 0.1706
Sn1 0.0000 0.0000 0.0000
```

Most intense lines, 2θ = 5–70°, by angle:
| 2θ (°) | d/Å | I (rel.) | hkl |
| --- | --- | --- | --- |
| 27.16 | 3.283 | 6 | 2 0 2 |
| 27.61 | 3.231 | 100 | 1 1 3 |
| 37.01 | 2.429 | 72 | 3 0 0 |
| 41.77 | 2.163 | 51 | 1 1 6 |
| 46.79 | 1.942 | 20 | 2 2 3 |
| 57.01 | 1.615 | 19 | 2 2 6 |
| 59.20 | 1.561 | 12 | 1 1 9 |
| 61.10 | 1.517 | 15 | 4 1 3 |
| 66.69 | 1.403 | 10 | 3 3 0 |
| 69.94 | 1.345 | 18 | 4 1 6 |